1.
The following is a computed powder XRD pattern of TbPm4S6. It was derived from DFT lattice parameters and positions (GGA-PBE), using a wavelength of 1.5418 Å.

Principal peaks in the range 2θ from 15° to 90°, in order of rising 2θ:
25.31°, d = 3.519 Å, intensity 29; 25.74°, d = 3.461 Å, intensity 100; 26.86°, d = 3.320 Å, intensity 29; 27.19°, d = 3.280 Å, intensity 51; 30.82°, d = 2.901 Å, intensity 28; 31.78°, d = 2.816 Å, intensity 77; 33.32°, d = 2.689 Å, intensity 51; 43.06°, d = 2.101 Å, intensity 38; 44.68°, d = 2.028 Å, intensity 30; 53.84°, d = 1.703 Å, intensity 29

Structural model:
Cell: 6.921 6.921 20.280 Å, 90.00 90.00 147.17°
Element x y z (fractional)
Tb  0.153  0.847  0.750
Tb  0.847  0.153  0.250
Pm  0.090  0.910  0.130
Pm  0.090  0.910  0.370
Pm  0.360  0.640  0.041
Pm  0.360  0.640  0.459
Pm  0.640  0.360  0.541
Pm  0.640  0.360  0.959
Pm  0.910  0.090  0.630
Pm  0.910  0.090  0.870
S  0.000  0.000  0.000
S  0.000  0.000  0.500
S  0.199  0.801  0.250
S  0.271  0.729  0.590
S  0.271  0.729  0.910
S  0.446  0.554  0.170
S  0.446  0.554  0.330
S  0.554  0.446  0.670
S  0.554  0.446  0.830
S  0.729  0.271  0.090
S  0.729  0.271  0.410
S  0.801  0.199  0.750



2.
The following is a computed powder XRD pattern of Sm2ThPb. It was derived from DFT lattice parameters and positions (GGA-PBE), using a wavelength of 1.5418 Å.

Principal peaks in the range 2θ from 15° to 90°, in order of rising 2θ:
31.07°, d = 2.879 Å, intensity 100; 34.42°, d = 2.606 Å, intensity 39; 39.07°, d = 2.305 Å, intensity 13; 49.47°, d = 1.843 Å, intensity 14; 53.04°, d = 1.727 Å, intensity 22; 59.57°, d = 1.552 Å, intensity 32; 64.77°, d = 1.439 Å, intensity 12; 65.84°, d = 1.418 Å, intensity 11; 81.00°, d = 1.187 Å, intensity 7; 86.61°, d = 1.124 Å, intensity 11

Structural model:
Cell: 3.685 3.685 9.221 Å, 90.00 90.00 90.00°
Element x y z (fractional)
Sm  0.000  0.000  0.239
Sm  0.000  0.000  0.761
Th  0.500  0.500  0.500
Pb  0.500  0.500  0.000



3.
The following is a computed powder XRD pattern of LiScNi2. It was derived from DFT lattice parameters and positions (GGA-PBE), using a wavelength of 1.5418 Å.

Principal peaks in the range 2θ from 15° to 90°, in order of rising 2θ:
22.70°, d = 3.917 Å, intensity 13; 25.10°, d = 3.547 Å, intensity 19; 32.32°, d = 2.770 Å, intensity 20; 41.36°, d = 2.183 Å, intensity 100; 46.35°, d = 1.959 Å, intensity 35; 51.53°, d = 1.774 Å, intensity 13; 53.44°, d = 1.715 Å, intensity 9; 67.64°, d = 1.385 Å, intensity 10; 71.80°, d = 1.315 Å, intensity 17; 82.47°, d = 1.170 Å, intensity 23

Structural model:
Cell: 3.917 3.917 3.547 Å, 90.00 90.00 90.00°
Element x y z (fractional)
Li  0.000  0.000  0.000
Sc  0.500  0.500  0.000
Ni  0.000  0.500  0.500
Ni  0.500  0.000  0.500



4.
The following is a computed powder XRD pattern of Sm10Dy6Ho. It was derived from DFT lattice parameters and positions (GGA-PBE), using a wavelength of 1.5418 Å.

Principal peaks in the range 2θ from 15° to 90°, in order of rising 2θ:
24.74°, d = 3.599 Å, intensity 5; 30.88°, d = 2.896 Å, intensity 26; 31.82°, d = 2.812 Å, intensity 100; 40.68°, d = 2.218 Å, intensity 6; 45.62°, d = 1.989 Å, intensity 14; 48.81°, d = 1.866 Å, intensity 8; 56.64°, d = 1.625 Å, intensity 13; 56.85°, d = 1.620 Å, intensity 10; 59.42°, d = 1.555 Å, intensity 5; 62.69°, d = 1.482 Å, intensity 6

Structural model:
Cell: 9.757 9.757 6.868 Å, 90.00 90.00 120.00°
Element x y z (fractional)
Sm  0.000  0.274  0.314
Sm  0.000  0.726  0.686
Sm  0.274  0.000  0.314
Sm  0.274  0.274  0.686
Sm  0.333  0.667  0.000
Sm  0.333  0.667  0.500
Sm  0.667  0.333  0.000
Sm  0.667  0.333  0.500
Sm  0.726  0.000  0.686
Sm  0.726  0.726  0.314
Dy  0.000  0.374  0.804
Dy  0.000  0.626  0.196
Dy  0.374  0.000  0.804
Dy  0.374  0.374  0.196
Dy  0.626  0.000  0.196
Dy  0.626  0.626  0.804
Ho  0.000  0.000  0.000



5.
The following is a computed powder XRD pattern of Na4Np3Se8. It was derived from DFT lattice parameters and positions (GGA-PBE), using a wavelength of 1.5418 Å.

Principal peaks in the range 2θ from 15° to 90°, in order of rising 2θ:
24.95°, d = 3.568 Å, intensity 40; 29.40°, d = 3.038 Å, intensity 100; 37.51°, d = 2.398 Å, intensity 38; 40.72°, d = 2.216 Å, intensity 40; 43.36°, d = 2.087 Å, intensity 41; 45.11°, d = 2.010 Å, intensity 25; 51.45°, d = 1.776 Å, intensity 17; 53.25°, d = 1.720 Å, intensity 19; 71.01°, d = 1.327 Å, intensity 15; 78.72°, d = 1.216 Å, intensity 14

Structural model:
Cell: 8.897 8.897 8.897 Å, 55.96 55.96 55.96°
Element x y z (fractional)
Na  0.000  0.000  0.000
Na  0.140  0.140  0.140
Na  0.500  0.500  0.500
Na  0.860  0.860  0.860
Np  0.000  0.500  0.500
Np  0.500  0.000  0.500
Np  0.500  0.500  0.000
Se  0.247  0.247  0.717
Se  0.247  0.717  0.247
Se  0.266  0.266  0.266
Se  0.283  0.753  0.753
Se  0.717  0.247  0.247
Se  0.734  0.734  0.734
Se  0.753  0.283  0.753
Se  0.753  0.753  0.283



6.
The following is a computed powder XRD pattern of LaHoEr2Cd4. It was derived from DFT lattice parameters and positions (GGA-PBE), using a wavelength of 1.5418 Å.

Principal peaks in the range 2θ from 15° to 90°, in order of rising 2θ:
23.55°, d = 3.777 Å, intensity 3; 33.55°, d = 2.671 Å, intensity 100; 48.18°, d = 1.889 Å, intensity 18; 59.85°, d = 1.545 Å, intensity 9; 60.04°, d = 1.541 Å, intensity 27; 70.41°, d = 1.337 Å, intensity 5; 70.63°, d = 1.334 Å, intensity 6; 80.32°, d = 1.195 Å, intensity 8; 80.47°, d = 1.194 Å, intensity 8; 89.69°, d = 1.093 Å, intensity 1

Structural model:
Cell: 9.272 9.272 9.272 Å, 33.44 33.44 33.44°
Element x y z (fractional)
La  0.000  0.000  0.000
Ho  0.500  0.500  0.500
Er  0.249  0.249  0.249
Er  0.751  0.751  0.751
Cd  0.127  0.127  0.127
Cd  0.378  0.378  0.378
Cd  0.622  0.622  0.622
Cd  0.873  0.873  0.873



7.
The following is a computed powder XRD pattern of NaMg14Nb. It was derived from DFT lattice parameters and positions (GGA-PBE), using a wavelength of 1.5418 Å.

Principal peaks in the range 2θ from 15° to 90°, in order of rising 2θ:
16.01°, d = 5.537 Å, intensity 12; 18.23°, d = 4.867 Å, intensity 19; 32.34°, d = 2.768 Å, intensity 26; 35.18°, d = 2.551 Å, intensity 25; 36.94°, d = 2.433 Å, intensity 100; 48.53°, d = 1.876 Å, intensity 16; 57.68°, d = 1.598 Å, intensity 17; 64.28°, d = 1.449 Å, intensity 18; 69.39°, d = 1.354 Å, intensity 19; 70.49°, d = 1.336 Å, intensity 14

Structural model:
Cell: 6.393 6.393 10.204 Å, 90.00 90.00 120.00°
Element x y z (fractional)
Na  0.000  0.000  0.000
Mg  0.000  0.500  0.500
Mg  0.005  0.503  0.000
Mg  0.163  0.325  0.261
Mg  0.163  0.325  0.739
Mg  0.163  0.837  0.261
Mg  0.163  0.837  0.739
Mg  0.497  0.503  0.000
Mg  0.497  0.995  0.000
Mg  0.500  0.000  0.500
Mg  0.500  0.500  0.500
Mg  0.667  0.333  0.247
Mg  0.667  0.333  0.753
Mg  0.675  0.837  0.261
Mg  0.675  0.837  0.739
Nb  0.000  0.000  0.500



8.
The following is a computed powder XRD pattern of TbCe2Zn2Ge2. It was derived from DFT lattice parameters and positions (GGA-PBE), using a wavelength of 1.5418 Å.

Principal peaks in the range 2θ from 15° to 90°, in order of rising 2θ:
24.11°, d = 3.691 Å, intensity 24; 33.10°, d = 2.706 Å, intensity 100; 35.49°, d = 2.530 Å, intensity 46; 42.02°, d = 2.150 Å, intensity 74; 49.58°, d = 1.838 Å, intensity 11; 54.51°, d = 1.683 Å, intensity 24; 56.14°, d = 1.638 Å, intensity 12; 66.97°, d = 1.397 Å, intensity 27; 71.13°, d = 1.325 Å, intensity 21; 76.78°, d = 1.241 Å, intensity 12

Structural model:
Cell: 9.522 9.522 9.522 Å, 26.10 26.10 26.10°
Element x y z (fractional)
Tb  0.000  0.000  0.000
Ce  0.142  0.142  0.142
Ce  0.858  0.858  0.858
Zn  0.405  0.405  0.405
Zn  0.595  0.595  0.595
Ge  0.266  0.266  0.266
Ge  0.734  0.734  0.734



9.
The following is a computed powder XRD pattern of ErBeGa3Cu. It was derived from DFT lattice parameters and positions (GGA-PBE), using a wavelength of 1.5418 Å.

Principal peaks in the range 2θ from 15° to 90°, in order of rising 2θ:
22.47°, d = 3.956 Å, intensity 75; 27.14°, d = 3.285 Å, intensity 38; 30.45°, d = 2.935 Å, intensity 44; 31.20°, d = 2.866 Å, intensity 100; 34.69°, d = 2.586 Å, intensity 60; 36.25°, d = 2.478 Å, intensity 69; 43.05°, d = 2.101 Å, intensity 100; 44.18°, d = 2.050 Å, intensity 52; 44.59°, d = 2.032 Å, intensity 59; 66.45°, d = 1.407 Å, intensity 27

Structural model:
Cell: 6.727 6.727 5.466 Å, 90.00 90.00 121.54°
Element x y z (fractional)
Er  0.218  0.782  0.750
Er  0.782  0.218  0.250
Be  0.137  0.863  0.250
Be  0.863  0.137  0.750
Ga  0.195  0.195  0.000
Ga  0.195  0.195  0.500
Ga  0.333  0.667  0.250
Ga  0.667  0.333  0.750
Ga  0.805  0.805  0.000
Ga  0.805  0.805  0.500
Cu  0.455  0.545  0.750
Cu  0.545  0.455  0.250



10.
The following is a computed powder XRD pattern of Ba6Pt2RhI2. It was derived from DFT lattice parameters and positions (GGA-PBE), using a wavelength of 1.5418 Å.

Principal peaks in the range 2θ from 15° to 90°, in order of rising 2θ:
26.14°, d = 3.409 Å, intensity 100; 32.79°, d = 2.731 Å, intensity 17; 35.44°, d = 2.533 Å, intensity 32; 39.09°, d = 2.304 Å, intensity 38; 40.49°, d = 2.228 Å, intensity 8; 44.26°, d = 2.047 Å, intensity 12; 47.64°, d = 1.909 Å, intensity 19; 63.26°, d = 1.470 Å, intensity 16; 67.22°, d = 1.393 Å, intensity 7; 68.47°, d = 1.370 Å, intensity 9

Structural model:
Cell: 7.983 7.983 9.134 Å, 98.34 98.34 120.04°
Element x y z (fractional)
Ba  0.061  0.392  0.195
Ba  0.257  0.257  0.806
Ba  0.392  0.061  0.195
Ba  0.608  0.939  0.805
Ba  0.743  0.743  0.194
Ba  0.939  0.608  0.805
Pt  0.332  0.668  0.000
Pt  0.668  0.332  0.000
Rh  0.000  0.000  0.000
I  0.166  0.834  0.500
I  0.834  0.166  0.500



11.
The following is a computed powder XRD pattern of NaCdN. It was derived from DFT lattice parameters and positions (GGA-PBE), using a wavelength of 1.5418 Å.

Principal peaks in the range 2θ from 15° to 90°, in order of rising 2θ:
30.59°, d = 2.923 Å, intensity 17; 30.76°, d = 2.907 Å, intensity 41; 34.45°, d = 2.603 Å, intensity 100; 38.50°, d = 2.338 Å, intensity 14; 39.43°, d = 2.285 Å, intensity 13; 40.52°, d = 2.227 Å, intensity 17; 40.94°, d = 2.205 Å, intensity 17; 59.23°, d = 1.560 Å, intensity 13; 69.82°, d = 1.347 Å, intensity 11; 70.40°, d = 1.337 Å, intensity 11

Structural model:
Cell: 11.898 3.133 11.902 Å, 82.36 15.13 82.51°
Element x y z (fractional)
Na  0.086  0.914  0.086
Na  0.914  0.086  0.914
Cd  0.302  0.700  0.300
Cd  0.700  0.302  0.698
N  0.474  0.524  0.476
N  0.524  0.474  0.526



What did the third record say?
The following is a computed powder XRD pattern of LiScNi2. It was derived from DFT lattice parameters and positions (GGA-PBE), using a wavelength of 1.5418 Å.

Principal peaks in the range 2θ from 15° to 90°, in order of rising 2θ:
22.70°, d = 3.917 Å, intensity 13; 25.10°, d = 3.547 Å, intensity 19; 32.32°, d = 2.770 Å, intensity 20; 41.36°, d = 2.183 Å, intensity 100; 46.35°, d = 1.959 Å, intensity 35; 51.53°, d = 1.774 Å, intensity 13; 53.44°, d = 1.715 Å, intensity 9; 67.64°, d = 1.385 Å, intensity 10; 71.80°, d = 1.315 Å, intensity 17; 82.47°, d = 1.170 Å, intensity 23

Structural model:
Cell: 3.917 3.917 3.547 Å, 90.00 90.00 90.00°
Element x y z (fractional)
Li  0.000  0.000  0.000
Sc  0.500  0.500  0.000
Ni  0.000  0.500  0.500
Ni  0.500  0.000  0.500